Entry 1:
Diffraction record for PaInPd5. The X-ray diffraction stick pattern is theoretical, not measured: it uses a cell relaxed with PBE and Cu Kα, 1.54184 Å.
No peak broadening, texture or thermal motion is included.

```
data_PaInPd5
_chemical_formula_sum 'Pa2 In2 Pd10'
_space_group_name_H-M_alt 'I m m 2'
_space_group_IT_number 44
_cell_length_a 7.239
_cell_length_b 7.495
_cell_length_c 6.805
_cell_angle_alpha 90.00
_cell_angle_beta 90.00
_cell_angle_gamma 90.00
loop_
_space_group_symop_operation_xyz
'x,y,z'
'-x,-y,z'
'-x,y,z'
'x,-y,z'
'x+1/2,y+1/2,z+1/2'
'-x+1/2,-y+1/2,z+1/2'
'-x+1/2,y+1/2,z+1/2'
'x+1/2,-y+1/2,z+1/2'
loop_
_atom_site_label
_atom_site_fract_x
_atom_site_fract_y
_atom_site_fract_z
Pa1 0.000 0.000 0.000
In1 0.000 0.500 0.959
Pd1 0.000 0.000 0.628
Pd2 0.000 0.193 0.301
Pd3 0.185 0.500 0.339
```

The 10 most intense peaks (10 to 80 degrees two-theta), low angle first:
| Position (°2θ) | I/Imax | hkl |
| --- | --- | --- |
| 17.03 | 665 | 1 1 0 |
| 17.60 | 621 | 0 1 1 |
| 17.89 | 718 | 1 0 1 |
| 23.74 | 923 | 0 2 0 |
| 24.59 | 895 | 2 0 0 |
| 29.89 | 886 | 1 2 1 |
| 41.73 | 820 | 1 0 3 |
| 43.78 | 1000 | 2 2 2 |
| 46.72 | 873 | 3 2 1 |
| 46.83 | 525 | 1 3 2 |



Entry 2:
Diffraction record for Er3Ga7Tc2. The X-ray diffraction stick pattern is theoretical, not measured: it uses a cell relaxed with PBE and Cu Kα, 1.54184 Å.
No peak broadening, texture or thermal motion is included.

```
data_Er3Ga7Tc2
_chemical_formula_sum 'Er6 Ga14 Tc4'
_space_group_name_H-M_alt 'C m m m'
_space_group_IT_number 65
_space_group_name_Hall '-C 2 2'
_cell_length_a 4.690
_cell_length_b 22.719
_cell_length_c 4.686
_cell_angle_alpha 90.00
_cell_angle_beta 90.00
_cell_angle_gamma 90.00
loop_
_atom_site_label
_atom_site_fract_x
_atom_site_fract_y
_atom_site_fract_z
Er1 0.000 0.000 0.000
Er2 0.000 0.184 0.000
Ga1 0.000 0.095 0.500
Ga2 0.000 0.281 0.500
Ga3 0.000 0.406 0.000
Ga4 0.000 0.500 0.500
Tc1 0.000 0.394 0.500
```

The 10 most intense peaks (10 to 80 degrees two-theta), low angle first:
| Position (°2θ) | I/Imax | hkl |
| --- | --- | --- |
| 27.19 | 307 | 1 1 1 |
| 27.33 | 319 | 1 5 0 |
| 30.35 | 337 | 0 6 1 |
| 33.46 | 1000 | 1 5 1 |
| 38.40 | 911 | 2 0 0 |
| 39.67 | 250 | 0 10 0 |
| 55.44 | 309 | 2 0 2 |
| 56.40 | 352 | 2 10 0 |
| 66.32 | 275 | 3 5 1 |
| 70.30 | 179 | 2 10 2 |



Entry 3:
Diffraction record for CaSi2Tc4. The X-ray diffraction stick pattern is theoretical, not measured: it uses a cell relaxed with PBE and Cu Kα, 1.54184 Å.
No peak broadening, texture or thermal motion is included.

```
data_CaSi2Tc4
_chemical_formula_sum 'Ca2 Si4 Tc8'
_space_group_name_H-M_alt 'C m m m'
_space_group_IT_number 65
_space_group_name_Hall '-C 2 2'
_cell_length_a 4.138
_cell_length_b 13.830
_cell_length_c 4.130
_cell_angle_alpha 90.00
_cell_angle_beta 90.00
_cell_angle_gamma 90.00
loop_
_atom_site_label
_atom_site_fract_x
_atom_site_fract_y
_atom_site_fract_z
Ca1 0.000 0.000 0.000
Si1 0.000 0.410 0.500
Tc1 0.000 0.191 0.500
Tc2 0.000 0.304 0.000
```

The 10 most intense peaks (10 to 80 degrees two-theta), low angle first:
| Position (°2θ) | I/Imax | hkl |
| --- | --- | --- |
| 12.80 | 1000 | 0 2 0 |
| 36.39 | 838 | 1 3 1 |
| 43.80 | 413 | 2 0 0 |
| 45.13 | 502 | 1 5 1 |
| 45.82 | 167 | 2 2 0 |
| 56.20 | 94 | 1 7 1 |
| 63.67 | 131 | 2 0 2 |
| 71.09 | 93 | 2 8 0 |
| 75.55 | 92 | 3 3 1 |
| 75.68 | 92 | 1 3 3 |



Entry 4:
Diffraction record for TePtAu. The X-ray diffraction stick pattern is theoretical, not measured: it uses a cell relaxed with PBE and Cu Kα, 1.54184 Å.
No peak broadening, texture or thermal motion is included.

```
data_TePtAu
_chemical_formula_sum 'Te4 Pt4 Au4'
_space_group_name_H-M_alt 'C 1 2/c 1'
_space_group_IT_number 15
_cell_length_a 9.442
_cell_length_b 5.946
_cell_length_c 5.716
_cell_angle_alpha 90.00
_cell_angle_beta 126.57
_cell_angle_gamma 90.00
loop_
_space_group_symop_operation_xyz
'x,y,z'
'-x,-y,-z'
'-x,y,-z+1/2'
'x,-y,z+1/2'
'x+1/2,y+1/2,z'
'-x+1/2,-y+1/2,-z'
'-x+1/2,y+1/2,-z+1/2'
'x+1/2,-y+1/2,z+1/2'
loop_
_atom_site_label
_atom_site_fract_x
_atom_site_fract_y
_atom_site_fract_z
Te1 0.250 0.250 0.000
Pt1 0.000 0.000 0.000
Au1 0.000 0.398 0.250
```

The 10 most intense peaks (10 to 80 degrees two-theta), low angle first:
| Position (°2θ) | I/Imax | hkl |
| --- | --- | --- |
| 23.46 | 883 | 2 0 0 |
| 31.94 | 696 | 1 1 1 |
| 32.22 | 680 | 3 1 -1 |
| 36.73 | 1000 | 1 1 -2 |
| 36.98 | 982 | 3 1 -2 |
| 38.48 | 987 | 2 2 0 |
| 47.99 | 507 | 4 0 0 |
| 48.62 | 354 | 1 3 -1 |
| 50.30 | 413 | 1 1 2 |
| 50.89 | 400 | 5 1 -2 |



Entry 5:
Diffraction record for SrEuY. The X-ray diffraction stick pattern is theoretical, not measured: it uses a cell relaxed with PBE and Cu Kα, 1.54184 Å.
No peak broadening, texture or thermal motion is included.

```
data_SrEuY
_chemical_formula_sum 'Sr1 Eu1 Y1'
_space_group_name_H-M_alt 'P 3 m 1'
_space_group_IT_number 156
_cell_length_a 3.8605
_cell_length_b 3.8605
_cell_length_c 9.5567
_cell_angle_alpha 90.00
_cell_angle_beta 90.00
_cell_angle_gamma 120.00
loop_
_space_group_symop_operation_xyz
'x,y,z'
'-y,x-y,z'
'-x+y,-x,z'
'-y,-x,z'
'-x+y,y,z'
'x,x-y,z'
loop_
_atom_site_label
_atom_site_fract_x
_atom_site_fract_y
_atom_site_fract_z
Sr1 0.0000 0.0000 0.0000
Eu1 0.3333 0.6667 0.6387
Y1 0.6667 0.3333 0.3344
```

The 10 most intense peaks (10 to 80 degrees two-theta), low angle first:
| Position (°2θ) | I/Imax | hkl |
| --- | --- | --- |
| 28.01 | 309 | 0 0 3 |
| 28.28 | 1000 | 1 0 1 |
| 32.69 | 680 | 0 1 2 |
| 46.73 | 235 | 1 0 4 |
| 47.08 | 237 | 1 1 0 |
| 55.37 | 138 | 0 1 5 |
| 55.68 | 266 | 1 1 3 |
| 55.83 | 146 | 0 2 1 |
| 58.49 | 126 | 2 0 2 |
| 75.96 | 118 | 2 1 1 |



Entry 6:
Diffraction record for Er2SiO5. The X-ray diffraction stick pattern is theoretical, not measured: it uses a cell relaxed with PBE and Cu Kα, 1.54184 Å.
No peak broadening, texture or thermal motion is included.

```
data_Er2SiO5
_chemical_formula_sum 'Er16 Si8 O40'
_space_group_name_H-M_alt 'C 1 2/c 1'
_space_group_IT_number 15
_cell_length_a 14.436
_cell_length_b 6.760
_cell_length_c 10.394
_cell_angle_alpha 90.00
_cell_angle_beta 122.01
_cell_angle_gamma 90.00
loop_
_space_group_symop_operation_xyz
'x,y,z'
'-x,-y,-z'
'-x,y,-z+1/2'
'x,-y,z+1/2'
'x+1/2,y+1/2,z'
'-x+1/2,-y+1/2,-z'
'-x+1/2,y+1/2,-z+1/2'
'x+1/2,-y+1/2,z+1/2'
loop_
_atom_site_label
_atom_site_fract_x
_atom_site_fract_y
_atom_site_fract_z
Er1 0.037 0.245 0.468
Er2 0.142 0.118 0.838
Si1 0.182 0.409 0.306
O1 0.016 0.094 0.896
O2 0.090 0.490 0.136
O3 0.121 0.214 0.326
O4 0.202 0.149 0.677
O5 0.202 0.426 0.933
```

The 10 most intense peaks (10 to 80 degrees two-theta), low angle first:
| Position (°2θ) | I/Imax | hkl |
| --- | --- | --- |
| 14.47 | 351 | 2 0 0 |
| 14.97 | 438 | 1 1 0 |
| 22.73 | 987 | 3 1 -1 |
| 25.14 | 575 | 4 0 -2 |
| 28.28 | 604 | 0 2 1 |
| 29.54 | 870 | 3 1 -3 |
| 30.25 | 719 | 2 2 0 |
| 30.64 | 1000 | 2 0 2 |
| 35.04 | 485 | 5 1 -1 |
| 52.77 | 339 | 5 3 -3 |



Entry 7:
Diffraction record for U2P2Rh. The X-ray diffraction stick pattern is theoretical, not measured: it uses a cell relaxed with PBE and Cu Kα, 1.54184 Å.
No peak broadening, texture or thermal motion is included.

```
data_U2P2Rh
_chemical_formula_sum 'U8 P8 Rh4'
_space_group_name_H-M_alt 'C m c 21'
_space_group_IT_number 36
_cell_length_a 3.912
_cell_length_b 14.236
_cell_length_c 6.795
_cell_angle_alpha 90.00
_cell_angle_beta 90.00
_cell_angle_gamma 90.00
loop_
_space_group_symop_operation_xyz
'x,y,z'
'-x,-y,z+1/2'
'-x,y,z'
'x,-y,z+1/2'
'x+1/2,y+1/2,z'
'-x+1/2,-y+1/2,z+1/2'
'-x+1/2,y+1/2,z'
'x+1/2,-y+1/2,z+1/2'
loop_
_atom_site_label
_atom_site_fract_x
_atom_site_fract_y
_atom_site_fract_z
U1 0.000 0.066 0.000
U2 0.000 0.184 0.270
P1 0.000 0.186 0.682
P2 0.000 0.456 0.789
Rh1 0.000 0.401 0.114
```

The 10 most intense peaks (10 to 80 degrees two-theta), low angle first:
| Position (°2θ) | I/Imax | hkl |
| --- | --- | --- |
| 23.59 | 424 | 1 1 0 |
| 27.04 | 904 | 1 1 1 |
| 28.31 | 651 | 0 4 1 |
| 29.12 | 615 | 0 2 2 |
| 32.46 | 1000 | 1 3 1 |
| 39.95 | 655 | 1 3 2 |
| 41.41 | 368 | 1 5 1 |
| 41.85 | 416 | 0 2 3 |
| 46.42 | 373 | 2 0 0 |
| 46.72 | 456 | 0 6 2 |



Entry 8:
Diffraction record for UPd2Se4. The X-ray diffraction stick pattern is theoretical, not measured: it uses a cell relaxed with PBE and Cu Kα, 1.54184 Å.
No peak broadening, texture or thermal motion is included.

```
data_UPd2Se4
_chemical_formula_sum 'U2 Pd4 Se8'
_space_group_name_H-M_alt 'I 4/m'
_space_group_IT_number 87
_space_group_name_Hall '-I 4'
_cell_length_a 7.286
_cell_length_b 7.286
_cell_length_c 5.663
_cell_angle_alpha 90.00
_cell_angle_beta 90.00
_cell_angle_gamma 90.00
loop_
_atom_site_label
_atom_site_fract_x
_atom_site_fract_y
_atom_site_fract_z
U1 0.000 0.000 0.000
Pd1 0.000 0.500 0.250
Se1 0.185 0.270 0.500
```

The 10 most intense peaks (10 to 80 degrees two-theta), low angle first:
| Position (°2θ) | I/Imax | hkl |
| --- | --- | --- |
| 19.86 | 452 | 1 0 1 |
| 31.67 | 1000 | 2 1 1 |
| 34.83 | 743 | 2 2 0 |
| 36.20 | 573 | 1 1 2 |
| 40.39 | 380 | 3 0 1 |
| 47.77 | 156 | 3 2 1 |
| 50.08 | 203 | 4 0 0 |
| 51.11 | 567 | 1 3 2 |
| 56.33 | 174 | 2 1 3 |
| 66.23 | 199 | 4 3 1 |



Entry 9:
Diffraction record for NiPd5Pt. The X-ray diffraction stick pattern is theoretical, not measured: it uses a cell relaxed with PBE and Cu Kα, 1.54184 Å.
No peak broadening, texture or thermal motion is included.

```
data_NiPd5Pt
_chemical_formula_sum 'Ni4 Pd20 Pt4'
_space_group_name_H-M_alt 'I m m a'
_space_group_IT_number 74
_space_group_name_Hall '-I 2b 2'
_cell_length_a 7.251
_cell_length_b 7.843
_cell_length_c 7.898
_cell_angle_alpha 90.00
_cell_angle_beta 90.00
_cell_angle_gamma 90.00
loop_
_atom_site_label
_atom_site_fract_x
_atom_site_fract_y
_atom_site_fract_z
Ni1 0.000 0.000 0.000
Pd1 0.000 0.250 0.213
Pd2 0.202 0.250 0.501
Pd3 0.250 0.000 0.250
Pt1 0.000 0.250 0.789
```

The 10 most intense peaks (10 to 80 degrees two-theta), low angle first:
| Position (°2θ) | I/Imax | hkl |
| --- | --- | --- |
| 22.52 | 89 | 0 0 2 |
| 22.67 | 121 | 0 2 0 |
| 33.67 | 120 | 2 2 0 |
| 38.97 | 103 | 3 0 1 |
| 40.88 | 1000 | 2 2 2 |
| 43.23 | 176 | 1 2 3 |
| 45.96 | 150 | 0 0 4 |
| 46.30 | 211 | 0 4 0 |
| 50.34 | 113 | 4 0 0 |
| 67.30 | 94 | 0 4 4 |



Entry 10:
Diffraction record for Nd2Hg17. The X-ray diffraction stick pattern is theoretical, not measured: it uses a cell relaxed with PBE and Cu Kα, 1.54184 Å.
No peak broadening, texture or thermal motion is included.

```
data_Nd2Hg17
_chemical_formula_sum 'Nd6 Hg51'
_space_group_name_H-M_alt 'R -3 m'
_space_group_IT_number 166
_space_group_name_Hall '-R 3 2"'
_cell_length_a 8.7832
_cell_length_b 8.7832
_cell_length_c 23.5712
_cell_angle_alpha 90.00
_cell_angle_beta 90.00
_cell_angle_gamma 120.00
loop_
_atom_site_label
_atom_site_fract_x
_atom_site_fract_y
_atom_site_fract_z
Nd1 0.0000 0.0000 0.2367
Hg1 0.0000 0.0000 0.4148
Hg2 0.0000 0.3251 0.5000
Hg3 0.0000 0.5000 0.0000
Hg4 0.0872 0.5436 0.6124
```

The 10 most intense peaks (10 to 80 degrees two-theta), low angle first:
| Position (°2θ) | I/Imax | hkl |
| --- | --- | --- |
| 30.19 | 891 | 2 0 5 |
| 30.53 | 858 | 1 1 6 |
| 32.04 | 387 | 1 2 2 |
| 37.26 | 1000 | 0 3 3 |
| 42.43 | 211 | 3 0 6 |
| 42.76 | 315 | 2 2 3 |
| 59.53 | 289 | 0 3 12 |
| 60.56 | 288 | 4 1 6 |
| 63.56 | 213 | 3 3 0 |
| 74.21 | 234 | 3 3 9 |



Entry 11:
Diffraction record for AcPm6Er2. The X-ray diffraction stick pattern is theoretical, not measured: it uses a cell relaxed with PBE and Cu Kα, 1.54184 Å.
No peak broadening, texture or thermal motion is included.

```
data_AcPm6Er2
_chemical_formula_sum 'Ac1 Pm6 Er2'
_space_group_name_H-M_alt 'P -6 m 2'
_space_group_IT_number 187
_space_group_name_Hall 'P -6 2'
_cell_length_a 3.6649
_cell_length_b 3.6649
_cell_length_c 27.1411
_cell_angle_alpha 90.00
_cell_angle_beta 90.00
_cell_angle_gamma 120.00
loop_
_atom_site_label
_atom_site_fract_x
_atom_site_fract_y
_atom_site_fract_z
Ac1 0.0000 0.0000 0.0000
Pm1 0.0000 0.0000 0.2258
Pm2 0.0000 0.0000 0.4342
Pm3 0.3333 0.6667 0.1174
Er1 0.3333 0.6667 0.3322
```

The 10 most intense peaks (10 to 80 degrees two-theta), low angle first:
| Position (°2θ) | I/Imax | hkl |
| --- | --- | --- |
| 28.11 | 538 | 1 0 0 |
| 29.62 | 539 | 0 0 9 |
| 31.11 | 900 | 1 0 4 |
| 32.68 | 1000 | 1 0 5 |
| 34.52 | 169 | 1 0 6 |
| 41.30 | 343 | 1 0 9 |
| 49.76 | 430 | 1 1 0 |
| 55.54 | 253 | 1 0 14 |
| 58.98 | 467 | 1 1 9 |
| 60.81 | 170 | 2 0 5 |



Entry 12:
Diffraction record for Pm2DyCdHg4. The X-ray diffraction stick pattern is theoretical, not measured: it uses a cell relaxed with PBE and Cu Kα, 1.54184 Å.
No peak broadening, texture or thermal motion is included.

```
data_Pm2DyCdHg4
_chemical_formula_sum 'Pm6 Dy3 Cd3 Hg12'
_space_group_name_H-M_alt 'R -3 m'
_space_group_IT_number 166
_space_group_name_Hall '-R 3 2"'
_cell_length_a 5.2119
_cell_length_b 5.2119
_cell_length_c 26.3841
_cell_angle_alpha 90.00
_cell_angle_beta 90.00
_cell_angle_gamma 120.00
loop_
_atom_site_label
_atom_site_fract_x
_atom_site_fract_y
_atom_site_fract_z
Pm1 0.0000 0.0000 0.2418
Dy1 0.0000 0.0000 0.0000
Cd1 0.0000 0.0000 0.5000
Hg1 0.0000 0.0000 0.1215
Hg2 0.0000 0.0000 0.3677
```

The 10 most intense peaks (10 to 80 degrees two-theta), low angle first:
| Position (°2θ) | I/Imax | hkl |
| --- | --- | --- |
| 23.89 | 66 | 1 0 4 |
| 33.66 | 974 | 0 1 8 |
| 34.41 | 1000 | 1 1 0 |
| 46.63 | 61 | 1 1 9 |
| 48.90 | 344 | 2 0 8 |
| 59.70 | 145 | 1 0 16 |
| 61.16 | 353 | 1 2 8 |
| 61.65 | 188 | 3 0 0 |
| 70.76 | 88 | 0 2 16 |
| 72.55 | 117 | 2 2 0 |